[1]
Computed powder diffractogram
Compound: FeSeN
Radiation: Cu Kα X-rays
Structure: DFT lattice parameters and positions (GGA-PBE)
Intensities are scaled so that the largest is 100.

Crystal structure
```
data_FeSeN
_chemical_formula_sum 'Fe2 Se2 N2'
_cell_length_a 3.5844
_cell_length_b 3.5844
_cell_length_c 6.9085
_cell_angle_alpha 90.00
_cell_angle_beta 90.00
_cell_angle_gamma 90.00
_space_group_name_H-M_alt 'P 4/n m m'
_space_group_IT_number 129
loop_
_space_group_symop_operation_xyz
'x,y,z'
'-x,-y,-z'
'-y+1/2,x,z'
'y+1/2,-x,-z'
'-x+1/2,-y+1/2,z'
'x+1/2,y+1/2,-z'
'y,-x+1/2,z'
'-y,x+1/2,-z'
'x+1/2,-y,-z'
'-x+1/2,y,z'
'-y,-x,-z'
'y,x,z'
'-x,y+1/2,-z'
'x,-y+1/2,z'
'y+1/2,x+1/2,-z'
'-y+1/2,-x+1/2,z'
loop_
_atom_site_label
_atom_site_fract_x
_atom_site_fract_y
_atom_site_fract_z
_atom_site_occupancy
Fe1 0.2500 0.7500 0.0000 1
Se1 0.2500 0.2500 0.2300 1
N1 0.2500 0.2500 0.4826 1
```

Principal peaks in the range 5 to 70 degrees two-theta, sorted by position:
12.81 deg, 6.909 Å, intensity 73.1, (0 0 1)
28.04 deg, 3.182 Å, intensity 100.0, (1 0 1)
37.81 deg, 2.379 Å, intensity 26.5, (1 1 1)
44.33 deg, 2.043 Å, intensity 65.9, (1 1 2)
46.89 deg, 1.937 Å, intensity 18.0, (1 0 3)
50.95 deg, 1.792 Å, intensity 31.5, (2 0 0)
53.78 deg, 1.704 Å, intensity 22.8, (1 1 3)
59.17 deg, 1.562 Å, intensity 23.2, (2 1 1)

---

[2]
Computed powder diffractogram
Compound: Fe4Se3N2
Radiation: Cu Kα X-rays
Structure: DFT lattice parameters and positions (GGA-PBE)
Intensities are scaled so that the largest is 100.

Crystal structure
```
data_Fe4Se3N2
_chemical_formula_sum 'Fe8 Se6 N4'
_cell_length_a 12.3989
_cell_length_b 3.2948
_cell_length_c 8.7465
_cell_angle_alpha 90.00
_cell_angle_beta 133.09
_cell_angle_gamma 90.00
_space_group_name_H-M_alt 'C 1 2/m 1'
_space_group_IT_number 12
loop_
_space_group_symop_operation_xyz
'x,y,z'
'-x,-y,-z'
'-x,y,-z'
'x,-y,z'
'x+1/2,y+1/2,z'
'-x+1/2,-y+1/2,-z'
'-x+1/2,y+1/2,-z'
'x+1/2,-y+1/2,z'
loop_
_atom_site_label
_atom_site_fract_x
_atom_site_fract_y
_atom_site_fract_z
_atom_site_occupancy
Fe1 0.1952 0.0000 0.3651 1
Fe2 0.2204 0.5000 0.1517 1
Se1 0.0000 0.0000 0.0000 1
Se2 0.1210 0.5000 0.7958 1
N1 0.2164 0.0000 0.5918 1
```

Principal peaks in the range 5 to 70 degrees two-theta, sorted by position:
13.86 deg, 6.387 Å, intensity 25.5, (0 0 1)
19.61 deg, 4.527 Å, intensity 31.0, (2 0 0)
28.82 deg, 3.098 Å, intensity 22.8, (4 0 -2)
31.98 deg, 2.799 Å, intensity 26.1, (2 0 -3)
35.40 deg, 2.536 Å, intensity 100.0, (3 1 -1)
45.31 deg, 2.002 Å, intensity 32.0, (1 1 2)
45.53 deg, 1.992 Å, intensity 27.1, (2 0 -4)
55.80 deg, 1.647 Å, intensity 20.4, (0 2 0)

---

[3]
Computed powder diffractogram
Compound: Fe4Se3N2
Radiation: Cu Kα X-rays
Structure: DFT lattice parameters and positions (GGA-PBE)
Intensities are scaled so that the largest is 100.

Crystal structure
```
data_Fe4Se3N2
_chemical_formula_sum 'Fe16 Se12 N8'
_cell_length_a 5.8088
_cell_length_b 10.2423
_cell_length_c 8.2624
_cell_angle_alpha 90.00
_cell_angle_beta 90.00
_cell_angle_gamma 90.00
_space_group_name_H-M_alt 'P n m a'
_space_group_IT_number 62
loop_
_space_group_symop_operation_xyz
'x,y,z'
'-x,-y,-z'
'-x+1/2,-y,z+1/2'
'x+1/2,y,-z+1/2'
'x+1/2,-y+1/2,-z+1/2'
'-x+1/2,y+1/2,z+1/2'
'-x,y+1/2,-z'
'x,-y+1/2,z'
loop_
_atom_site_label
_atom_site_fract_x
_atom_site_fract_y
_atom_site_fract_z
_atom_site_occupancy
Fe1 0.0423 0.2500 0.1419 1
Fe2 0.1863 0.0383 0.9394 1
Fe3 0.2408 0.2500 0.5734 1
Se1 0.0562 0.5559 0.6745 1
Se2 0.1545 0.7500 0.3430 1
N1 0.0812 0.6235 0.0052 1
```

Principal peaks in the range 5 to 70 degrees two-theta, sorted by position:
28.28 deg, 3.155 Å, intensity 40.7, (0 3 1)
33.87 deg, 2.647 Å, intensity 46.3, (2 1 1)
35.04 deg, 2.561 Å, intensity 41.0, (0 4 0)
36.09 deg, 2.489 Å, intensity 36.0, (1 0 3)
37.21 deg, 2.417 Å, intensity 86.6, (2 2 1)
37.52 deg, 2.397 Å, intensity 100.0, (1 3 2)
40.29 deg, 2.238 Å, intensity 29.7, (1 2 3)
50.14 deg, 1.819 Å, intensity 43.9, (1 2 4)

---

[4]
Computed powder diffractogram
Compound: Fe4Se3N2
Radiation: Cu Kα X-rays
Structure: DFT lattice parameters and positions (GGA-PBE)
Intensities are scaled so that the largest is 100.

Crystal structure
```
data_Fe4Se3N2
_chemical_formula_sum 'Fe8 Se6 N4'
_cell_length_a 6.5757
_cell_length_b 11.8232
_cell_length_c 3.1134
_cell_angle_alpha 90.00
_cell_angle_beta 90.00
_cell_angle_gamma 90.00
_space_group_name_H-M_alt 'P n n m'
_space_group_IT_number 58
loop_
_space_group_symop_operation_xyz
'x,y,z'
'-x,-y,-z'
'-x,-y,z'
'x,y,-z'
'x+1/2,-y+1/2,-z+1/2'
'-x+1/2,y+1/2,z+1/2'
'-x+1/2,y+1/2,-z+1/2'
'x+1/2,-y+1/2,z+1/2'
loop_
_atom_site_label
_atom_site_fract_x
_atom_site_fract_y
_atom_site_fract_z
_atom_site_occupancy
Fe1 0.1908 0.0655 0.0000 1
Fe2 0.2031 0.8633 0.5000 1
Se1 0.0000 0.5000 0.0000 1
Se2 0.1373 0.2222 0.5000 1
N1 0.0982 0.9212 0.0000 1
```

Principal peaks in the range 5 to 70 degrees two-theta, sorted by position:
26.37 deg, 3.380 Å, intensity 45.6, (1 3 0)
28.17 deg, 3.168 Å, intensity 28.4, (2 1 0)
35.33 deg, 2.541 Å, intensity 100.0, (1 2 1)
39.34 deg, 2.290 Å, intensity 95.3, (1 3 1)
41.92 deg, 2.155 Å, intensity 43.4, (3 1 0)
46.30 deg, 1.961 Å, intensity 37.3, (2 3 1)
48.21 deg, 1.888 Å, intensity 29.8, (1 6 0)
59.37 deg, 1.557 Å, intensity 25.6, (0 0 2)

---

[5]
Computed powder diffractogram
Compound: FeSi2N3
Radiation: Cu Kα X-rays
Structure: DFT lattice parameters and positions (GGA-PBE)
Intensities are scaled so that the largest is 100.

Crystal structure
```
data_FeSi2N3
_chemical_formula_sum 'Fe4 Si8 N12'
_cell_length_a 9.3442
_cell_length_b 5.4014
_cell_length_c 4.8055
_cell_angle_alpha 90.00
_cell_angle_beta 90.00
_cell_angle_gamma 90.00
_space_group_name_H-M_alt 'C m c 21'
_space_group_IT_number 36
loop_
_space_group_symop_operation_xyz
'x,y,z'
'-x,-y,z+1/2'
'-x,y,z'
'x,-y,z+1/2'
'x+1/2,y+1/2,z'
'-x+1/2,-y+1/2,z+1/2'
'-x+1/2,y+1/2,z'
'x+1/2,-y+1/2,z+1/2'
loop_
_atom_site_label
_atom_site_fract_x
_atom_site_fract_y
_atom_site_fract_z
_atom_site_occupancy
Fe1 0.0000 0.1049 0.0000 1
Si1 0.1668 0.3427 0.4769 1
N1 0.0000 0.2619 0.5908 1
N2 0.1983 0.3548 0.1143 1
```

Principal peaks in the range 5 to 70 degrees two-theta, sorted by position:
18.98 deg, 4.675 Å, intensity 26.7, (1 1 0)
33.20 deg, 2.698 Å, intensity 75.9, (3 1 0)
37.43 deg, 2.403 Å, intensity 48.2, (0 0 2)
38.24 deg, 2.354 Å, intensity 100.0, (0 2 1)
43.02 deg, 2.103 Å, intensity 20.9, (2 2 1)
50.89 deg, 1.794 Å, intensity 30.0, (3 1 2)
59.31 deg, 1.558 Å, intensity 26.8, (6 0 0)
68.06 deg, 1.378 Å, intensity 32.8, (0 2 3)

---

[6]
Computed powder diffractogram
Compound: FeSi7N10
Radiation: Cu Kα X-rays
Structure: DFT lattice parameters and positions (GGA-PBE)
Intensities are scaled so that the largest is 100.

Crystal structure
```
data_FeSi7N10
_chemical_formula_sum 'Fe2 Si14 N20'
_cell_length_a 6.6940
_cell_length_b 6.8990
_cell_length_c 9.7161
_cell_angle_alpha 90.00
_cell_angle_beta 104.11
_cell_angle_gamma 90.00
_space_group_name_H-M_alt 'P 1 c 1'
_space_group_IT_number 7
loop_
_space_group_symop_operation_xyz
'x,y,z'
'x,-y,z+1/2'
loop_
_atom_site_label
_atom_site_fract_x
_atom_site_fract_y
_atom_site_fract_z
_atom_site_occupancy
Fe1 0.0000 0.0806 0.0000 1
Si1 0.1104 0.4010 0.8700 1
Si2 0.2980 0.3794 0.1769 1
Si3 0.3501 0.0220 0.8160 1
Si4 0.4859 0.3665 0.4804 1
Si5 0.5442 0.0185 0.1184 1
Si6 0.6602 0.3630 0.7847 1
Si7 0.8473 0.3833 0.1024 1
N1 0.0762 0.4323 0.2303 1
N2 0.1513 0.1573 0.8457 1
N3 0.2902 0.4937 0.0178 1
N4 0.3140 0.1283 0.1604 1
N5 0.4473 0.1198 0.4658 1
N6 0.4985 0.4563 0.3154 1
N7 0.5534 0.1373 0.7633 1
N8 0.7010 0.4146 0.6177 1
N9 0.7546 0.1509 0.1033 1
N10 0.8805 0.3844 0.9246 1
```

Principal peaks in the range 5 to 70 degrees two-theta, sorted by position:
15.92 deg, 5.567 Å, intensity 72.1, (0 1 1)
19.45 deg, 4.563 Å, intensity 100.0, (1 1 -1)
25.83 deg, 3.449 Å, intensity 36.3, (0 2 0)
25.93 deg, 3.436 Å, intensity 32.2, (1 0 2)
29.03 deg, 3.075 Å, intensity 28.4, (1 1 2)
29.79 deg, 2.999 Å, intensity 32.8, (2 1 -1)
32.16 deg, 2.783 Å, intensity 37.6, (2 1 -2)
39.60 deg, 2.276 Å, intensity 31.2, (1 1 -4)

---

[7]
Computed powder diffractogram
Compound: FeSnN
Radiation: Cu Kα X-rays
Structure: DFT lattice parameters and positions (GGA-PBE)
Intensities are scaled so that the largest is 100.

Crystal structure
```
data_FeSnN
_chemical_formula_sum 'Fe4 Sn4 N4'
_cell_length_a 2.9995
_cell_length_b 5.1943
_cell_length_c 12.5517
_cell_angle_alpha 90.00
_cell_angle_beta 90.00
_cell_angle_gamma 90.00
_space_group_name_H-M_alt 'C m c 21'
_space_group_IT_number 36
loop_
_space_group_symop_operation_xyz
'x,y,z'
'-x,-y,z+1/2'
'-x,y,z'
'x,-y,z+1/2'
'x+1/2,y+1/2,z'
'-x+1/2,-y+1/2,z+1/2'
'-x+1/2,y+1/2,z'
'x+1/2,-y+1/2,z+1/2'
loop_
_atom_site_label
_atom_site_fract_x
_atom_site_fract_y
_atom_site_fract_z
_atom_site_occupancy
Fe1 0.0000 0.1673 0.0000 1
Sn1 0.0000 0.4999 0.1913 1
N1 0.0000 0.1662 0.4594 1
```

Principal peaks in the range 5 to 70 degrees two-theta, sorted by position:
14.11 deg, 6.276 Å, intensity 43.3, (0 0 2)
28.44 deg, 3.138 Å, intensity 36.0, (0 0 4)
34.53 deg, 2.597 Å, intensity 19.7, (1 1 0)
37.47 deg, 2.400 Å, intensity 100.0, (0 2 2)
45.32 deg, 2.001 Å, intensity 35.8, (0 2 4)
56.48 deg, 1.629 Å, intensity 17.2, (1 1 6)
61.87 deg, 1.500 Å, intensity 18.1, (2 0 0)
69.47 deg, 1.353 Å, intensity 16.3, (2 0 4)

---

[8]
Computed powder diffractogram
Compound: Sr3FeN3
Radiation: Cu Kα X-rays
Structure: DFT lattice parameters and positions (GGA-PBE)
Intensities are scaled so that the largest is 100.

Crystal structure
```
data_Sr3FeN3
_chemical_formula_sum 'Sr6 Fe2 N6'
_cell_length_a 7.6427
_cell_length_b 7.6427
_cell_length_c 5.3238
_cell_angle_alpha 90.00
_cell_angle_beta 90.00
_cell_angle_gamma 120.00
_space_group_name_H-M_alt 'P 63/m'
_space_group_IT_number 176
_space_group_name_Hall '-P 6c'
loop_
_atom_site_label
_atom_site_fract_x
_atom_site_fract_y
_atom_site_fract_z
_atom_site_occupancy
Sr1 0.0861 0.3603 0.2500 1
Fe1 0.3333 0.6667 0.7500 1
N1 0.1156 0.4286 0.7500 1
```

Principal peaks in the range 5 to 70 degrees two-theta, sorted by position:
28.76 deg, 3.104 Å, intensity 99.6, (1 1 1)
31.84 deg, 2.811 Å, intensity 100.0, (2 0 1)
33.67 deg, 2.662 Å, intensity 62.6, (0 0 2)
35.90 deg, 2.502 Å, intensity 59.1, (1 2 0)
40.90 deg, 2.206 Å, intensity 24.0, (3 0 0)
50.04 deg, 1.823 Å, intensity 43.0, (1 2 2)
61.35 deg, 1.511 Å, intensity 20.7, (3 1 2)
63.73 deg, 1.460 Å, intensity 24.7, (2 3 1)

---

[9]
Computed powder diffractogram
Compound: Sr8Fe3N8
Radiation: Cu Kα X-rays
Structure: DFT lattice parameters and positions (GGA-PBE)
Intensities are scaled so that the largest is 100.

Crystal structure
```
data_Sr8Fe3N8
_chemical_formula_sum 'Sr16 Fe6 N16'
_cell_length_a 18.8459
_cell_length_b 5.3580
_cell_length_c 7.4911
_cell_angle_alpha 90.00
_cell_angle_beta 105.92
_cell_angle_gamma 90.00
_space_group_name_H-M_alt 'C 1 2/m 1'
_space_group_IT_number 12
loop_
_space_group_symop_operation_xyz
'x,y,z'
'-x,-y,-z'
'-x,y,-z'
'x,-y,z'
'x+1/2,y+1/2,z'
'-x+1/2,-y+1/2,-z'
'-x+1/2,y+1/2,-z'
'x+1/2,-y+1/2,z'
loop_
_atom_site_label
_atom_site_fract_x
_atom_site_fract_y
_atom_site_fract_z
_atom_site_occupancy
Sr1 0.0308 0.0000 0.2639 1
Sr2 0.0950 0.5000 0.9638 1
Sr3 0.1672 0.5000 0.4680 1
Sr4 0.1997 0.0000 0.8070 1
Fe1 0.0000 0.5000 0.5000 1
Fe2 0.1884 0.0000 0.2068 1
N1 0.0265 0.5000 0.2806 1
N2 0.1087 0.0000 0.0167 1
N3 0.1785 0.0000 0.4306 1
N4 0.2235 0.5000 0.8288 1
```

Principal peaks in the range 5 to 70 degrees two-theta, sorted by position:
27.36 deg, 3.260 Å, intensity 29.6, (3 1 1)
29.14 deg, 3.064 Å, intensity 56.5, (1 1 -2)
29.53 deg, 3.025 Å, intensity 76.2, (5 1 -1)
29.76 deg, 3.002 Å, intensity 37.0, (5 1 0)
31.42 deg, 2.847 Å, intensity 64.2, (1 1 2)
33.45 deg, 2.679 Å, intensity 100.0, (0 2 0)
34.26 deg, 2.617 Å, intensity 23.9, (5 1 -2)
57.37 deg, 1.606 Å, intensity 25.0, (5 3 -1)

---

[10]
Computed powder diffractogram
Compound: Sr3Fe2N4
Radiation: Cu Kα X-rays
Structure: DFT lattice parameters and positions (GGA-PBE)
Intensities are scaled so that the largest is 100.

Crystal structure
```
data_Sr3Fe2N4
_chemical_formula_sum 'Sr12 Fe8 N16'
_cell_length_a 5.8829
_cell_length_b 9.9444
_cell_length_c 9.5194
_cell_angle_alpha 90.00
_cell_angle_beta 90.00
_cell_angle_gamma 90.00
_space_group_name_H-M_alt 'P n n a'
_space_group_IT_number 52
loop_
_space_group_symop_operation_xyz
'x,y,z'
'-x,-y,-z'
'-x+1/2,-y,z'
'x+1/2,y,-z'
'x,-y+1/2,-z+1/2'
'-x,y+1/2,z+1/2'
'-x+1/2,y+1/2,-z+1/2'
'x+1/2,-y+1/2,z+1/2'
loop_
_atom_site_label
_atom_site_fract_x
_atom_site_fract_y
_atom_site_fract_z
_atom_site_occupancy
Sr1 0.1144 0.1568 0.0849 1
Sr2 0.2500 0.0000 0.4032 1
Fe1 0.1551 0.2500 0.7500 1
Fe2 0.2500 0.0000 0.7336 1
N1 0.0160 0.0882 0.8291 1
N2 0.1349 0.6424 0.8698 1
```

Principal peaks in the range 5 to 70 degrees two-theta, sorted by position:
28.51 deg, 3.130 Å, intensity 70.1, (0 3 1)
31.72 deg, 2.821 Å, intensity 39.4, (2 1 0)
32.05 deg, 2.793 Å, intensity 100.0, (1 0 3)
33.12 deg, 2.704 Å, intensity 22.0, (2 1 1)
33.32 deg, 2.689 Å, intensity 49.5, (1 1 3)
36.39 deg, 2.469 Å, intensity 58.0, (1 3 2)
36.73 deg, 2.447 Å, intensity 40.1, (2 2 1)
49.64 deg, 1.837 Å, intensity 20.3, (1 3 4)

---

[11]
Computed powder diffractogram
Compound: SrFe2N2
Radiation: Cu Kα X-rays
Structure: DFT lattice parameters and positions (GGA-PBE)
Intensities are scaled so that the largest is 100.

Crystal structure
```
data_SrFe2N2
_chemical_formula_sum 'Sr1 Fe2 N2'
_cell_length_a 3.4249
_cell_length_b 3.4249
_cell_length_c 6.2052
_cell_angle_alpha 90.00
_cell_angle_beta 90.00
_cell_angle_gamma 120.00
_space_group_name_H-M_alt 'P -3 m 1'
_space_group_IT_number 164
_space_group_name_Hall '-P 3 2"'
loop_
_atom_site_label
_atom_site_fract_x
_atom_site_fract_y
_atom_site_fract_z
_atom_site_occupancy
Sr1 0.0000 0.0000 0.0000 1
Fe1 0.3333 0.6667 0.3894 1
N1 0.3333 0.6667 0.7016 1
```

Principal peaks in the range 5 to 70 degrees two-theta, sorted by position:
28.77 deg, 3.103 Å, intensity 8.8, (0 0 2)
33.49 deg, 2.676 Å, intensity 100.0, (0 1 1)
42.15 deg, 2.144 Å, intensity 38.6, (1 0 2)
43.77 deg, 2.068 Å, intensity 10.2, (0 0 3)
53.51 deg, 1.712 Å, intensity 31.2, (1 1 0)
54.05 deg, 1.697 Å, intensity 14.6, (0 1 3)
64.62 deg, 1.442 Å, intensity 14.0, (2 0 1)
68.22 deg, 1.375 Å, intensity 12.5, (1 0 4)